Calculated powder XRD pattern
Compound: NaYMgS3O12
Radiation: λ = 1.5418 Å (Cu Kα)
Structure: a structure optimized by DFT (PBE)

Largest 10 diffraction maxima, sorted by position, 2θ from 10° to 80°:
- 2θ = 13.7°, d = 6.469 Å, I 33
- 2θ = 18.9°, d = 4.703 Å, I 26
- 2θ = 19.9°, d = 4.455 Å, I 22
- 2θ = 22.9°, d = 3.882 Å, I 100
- 2θ = 27.6°, d = 3.234 Å, I 21
- 2θ = 30.2°, d = 2.958 Å, I 57
- 2θ = 34.9°, d = 2.572 Å, I 21
- 2θ = 46.8°, d = 1.941 Å, I 21
- 2θ = 49.5°, d = 1.841 Å, I 12
- 2θ = 54.5°, d = 1.684 Å, I 14

Structural model:
abc: 9.4354 9.4354 9.4354
angles: 56.35 56.35 56.35
Element x y z (fractional)
Na  0.0000  0.0000  0.0000
Na  0.5000  0.5000  0.5000
Y  0.1543  0.1543  0.1543
Y  0.6543  0.6543  0.6543
Mg  0.3554  0.3554  0.3554
Mg  0.8554  0.8554  0.8554
S  0.0588  0.4676  0.7451
S  0.2451  0.9676  0.5588
S  0.4676  0.7451  0.0588
S  0.5588  0.2451  0.9676
S  0.7451  0.0588  0.4676
S  0.9676  0.5588  0.2451
O  0.0200  0.6210  0.7808
O  0.0826  0.2944  0.9060
O  0.0830  0.9444  0.7253
O  0.1210  0.5200  0.2808
O  0.2194  0.9940  0.4029
O  0.2253  0.4444  0.5830
O  0.2808  0.1210  0.5200
O  0.2944  0.9060  0.0826
O  0.4029  0.2194  0.9940
O  0.4060  0.7944  0.5826
O  0.4444  0.5830  0.2253
O  0.4940  0.7194  0.9029
O  0.5200  0.2808  0.1210
O  0.5830  0.2253  0.4444
O  0.5826  0.4060  0.7944
O  0.6210  0.7808  0.0200
O  0.7194  0.9029  0.4940
O  0.7253  0.0830  0.9444
O  0.7808  0.0200  0.6210
O  0.7944  0.5826  0.4060
O  0.9029  0.4940  0.7194
O  0.9060  0.0826  0.2944
O  0.9444  0.7253  0.0830
O  0.9940  0.4029  0.2194